This entry pairs a crystal structure of Tb6PmY2Sc3 with its simulated powder diffractogram. Radiation: CuKα. Structure: DFT lattice parameters and positions (PBE).
Peak positions follow from Bragg's law for the DFT cell and can differ from measured ones.

Structural model:
a = 6.078 Å, b = 10.522 Å, c = 11.512 Å
α = 90.00°, β = 100.11°, γ = 90.00°
Space group C2/m (No. 12)
Unique sites:
Tb: 0.246 0.000 0.239 (multiplicity 4)
Tb: 0.246 0.334 0.239 (multiplicity 8)
Pm: 0.000 0.000 0.500 (multiplicity 2)
Y: 0.000 0.333 0.500 (multiplicity 4)
Sc: 0.000 0.167 0.000 (multiplicity 4)
Sc: 0.000 0.500 0.000 (multiplicity 2)

Peak list (12 most intense, 15° ≤ 2θ ≤ 90°, low angle first)
hkl 0 0 2, 15.64 deg, I = 18.7
hkl 2 0 0, 29.88 deg, I = 12.9
hkl 1 3 1, 31.27 deg, I = 100.0
hkl 0 0 4, 31.58 deg, I = 31.0
hkl 2 0 2, 36.35 deg, I = 65.4
hkl 0 6 0, 52.14 deg, I = 23.6
hkl 2 0 -6, 52.56 deg, I = 21.0
hkl 4 0 0, 62.07 deg, I = 13.8
hkl 0 6 4, 62.25 deg, I = 26.1
hkl 1 3 -7, 62.62 deg, I = 12.4
hkl 4 0 -4, 65.22 deg, I = 11.6
hkl 4 6 0, 85.29 deg, I = 11.4